The following is a computed powder diffractogram of TlHgI6. It was derived from the GGA-PBE geometry in OQMD, using Cu Ka.

Cell and atoms:
```
data_TlHgI6
_chemical_formula_sum 'Tl1 Hg1 I6'
_cell_length_a 6.8428
_cell_length_b 7.1612
_cell_length_c 8.6754
_cell_angle_alpha 68.10
_cell_angle_beta 70.15
_cell_angle_gamma 74.97
_symmetry_space_group_name_H-M 'P 1'
_symmetry_Int_Tables_number 1
loop_
_symmetry_equiv_pos_as_xyz
'x,y,z'
loop_
_atom_site_label
_atom_site_type_symbol
_atom_site_fract_x
_atom_site_fract_y
_atom_site_fract_z
Tl1 Tl 0.0000 0.0000 0.0000
Hg1 Hg 0.5000 0.5000 0.4996
I1 I 0.1161 0.4702 0.7270
I2 I 0.2718 0.9829 0.2387
I3 I 0.4504 0.7715 0.7472
I4 I 0.5495 0.2286 0.2528
I5 I 0.7279 0.0165 0.7615
I6 I 0.8845 0.5301 0.2732
```

Principal peaks in the range 10° ≤ 2θ ≤ 80°, low angle first:
15.44°, d 5.738, intensity 46, (1 0 1)
20.29°, d 4.376, intensity 100, (0 1 -1)
21.88°, d 4.062, intensity 49, (1 1 2)
23.62°, d 3.766, intensity 62, (-1 1 1)
24.07°, d 3.697, intensity 53, (1 -1 1)
27.16°, d 3.284, intensity 37, (0 2 0)
27.99°, d 3.187, intensity 40, (1 2 2)
33.02°, d 2.713, intensity 38, (2 2 2)
35.25°, d 2.546, intensity 46, (2 1 3)
40.97°, d 2.203, intensity 35, (3 0 1)